Structure and computed PXRD pattern of Tl9Te6Pb (a structure optimized by DFT (GGA-PBE); Cu Kα, 1.54184 Å).

Crystal structure
a b c (Å): 9.2177 9.2177 9.2177
angles (deg): 121.74 121.74 87.01
Fractional positions:
Tl 0.0000 0.0000 0.0000
Tl 0.0105 0.5056 0.2039
Tl 0.1934 0.9895 0.4950
Tl 0.3017 0.8066 0.7961
Tl 0.4944 0.6983 0.5050
Tl 0.5056 0.3017 0.4950
Tl 0.6983 0.1934 0.2039
Tl 0.8066 0.0105 0.5050
Tl 0.9895 0.4944 0.7961
Te 0.1649 0.3456 0.5105
Te 0.2551 0.2551 0.0000
Te 0.3456 0.8351 0.1807
Te 0.6544 0.1649 0.8193
Te 0.7449 0.7449 0.0000
Te 0.8351 0.6544 0.4895
Pb 0.5000 0.5000 0.0000

The 8 most intense peaks (2θ = 15–90°), sorted by position:
two_theta, d [Å], I (rel.)
29.96, 2.982, 100
30.22, 2.958, 16
31.53, 2.838, 58
40.48, 2.228, 11
45.19, 2.007, 9
46.43, 1.956, 12
52.19, 1.753, 14
59.19, 1.561, 22